Theoretical X-ray diffraction stick pattern of TlMoOsO6 for Cu Kα (λ = 1.5418 Å), from the GGA+U geometry in Alexandria.
No peak broadening, texture or thermal motion is included.

```
TlMoOsO6
1.0
-3.6116 3.6884 5.1942
3.6116 -3.6884 5.1942
3.6116 3.6884 -5.1942
Tl Mo Os O
2 2 2 12
Cartesian
0.0000 1.8442 1.0025 Tl
3.6116 1.8442 4.1917 Tl
3.6116 0.0000 0.0000 Mo
0.0000 0.0000 5.1942 Mo
1.8058 1.8442 -2.5971 Os
1.8058 -1.8442 2.5971 Os
2.2334 -0.4784 1.2674 O
4.9898 -0.4784 1.2674 O
3.6116 -1.8442 3.2661 O
2.2334 3.2100 -1.2674 O
1.3782 -0.4784 3.9269 O
3.6116 1.8442 0.6599 O
0.0000 1.8442 4.5343 O
2.2334 4.1669 1.2674 O
1.3782 0.4784 6.4616 O
0.0000 5.5326 1.9281 O
-1.3782 4.1669 3.9269 O
1.3782 4.1669 3.9269 O
```

Principal peaks in the range 2θ from 10° to 80°, by intensity:
Position (°2θ), I (rel.)
28.5, 100
28.8, 63
30.1, 38
49.8, 33
24.3, 30
59.0, 21